# Sr2CuHgH6
Simulated powder diffractogram, Cu Ka. Input: a PBE-relaxed structure.

Principal peaks in the range 15° ≤ 2θ ≤ 90°, sorted by position:
2θ (°)  intensity
19.5  18
22.5  5
32.1  100
37.8  11
46.0  19
50.4  5
57.2  38
67.1  12
76.3  17
85.2  4

a = 5.579 Å, b = 5.579 Å, c = 5.579 Å
α = 60.00°, β = 60.00°, γ = 60.00°
Fractional coordinates of all 10 atoms:
1 Sr 0.250 0.250 0.250
2 Sr 0.750 0.750 0.750
3 Cu 0.000 0.000 0.000
4 Hg 0.500 0.500 0.500
5 H 0.218 0.218 0.782
6 H 0.218 0.782 0.218
7 H 0.218 0.782 0.782
8 H 0.782 0.218 0.218
9 H 0.782 0.218 0.782
10 H 0.782 0.782 0.218

***

# Ba2TbW2
Simulated powder diffractogram, Cu Ka. Input: a PBE-relaxed structure.

Principal peaks in the range 15° ≤ 2θ ≤ 90°, sorted by position:
2θ (°)  intensity
26.4  44
26.9  56
28.7  100
30.0  36
35.3  32
35.4  49
37.6  35
41.1  39
49.9  43
57.9  36

a = 3.660 Å, b = 3.660 Å, c = 12.616 Å
α = 96.96°, β = 96.96°, γ = 90.17°
Fractional coordinates of all 5 atoms:
1 Ba 0.000 0.000 0.000
2 Ba 0.215 0.215 0.514
3 Tb 0.615 0.615 0.257
4 W 0.353 0.851 0.757
5 W 0.851 0.353 0.757

***

# LiCdAsF6
Simulated powder diffractogram, Cu Ka. Input: a PBE-relaxed structure.

Principal peaks in the range 15° ≤ 2θ ≤ 90°, sorted by position:
2θ (°)  intensity
20.1  17
22.3  24
27.8  100
35.2  31
40.3  16
45.4  25
53.1  43
58.7  23
63.2  27
85.1  10

a = 5.099 Å, b = 5.099 Å, c = 9.359 Å
α = 90.00°, β = 90.00°, γ = 120.00°
Fractional coordinates of all 18 atoms:
1 Li 0.333 0.667 0.250
2 Li 0.667 0.333 0.750
3 Cd 0.000 0.000 0.000
4 Cd 0.000 0.000 0.500
5 As 0.333 0.667 0.750
6 As 0.667 0.333 0.250
7 F 0.015 0.365 0.131
8 F 0.015 0.649 0.369
9 F 0.351 0.365 0.369
10 F 0.351 0.985 0.131
11 F 0.365 0.015 0.631
12 F 0.365 0.351 0.869
13 F 0.635 0.649 0.131
14 F 0.635 0.985 0.369
15 F 0.649 0.015 0.869
16 F 0.649 0.635 0.631
17 F 0.985 0.351 0.631
18 F 0.985 0.635 0.869

***

# PbW4C3
Simulated powder diffractogram, Cu Ka. Input: a PBE-relaxed structure.

Principal peaks in the range 15° ≤ 2θ ≤ 90°, sorted by position:
2θ (°)  intensity
32.7  43
35.7  94
36.7  54
37.4  100
39.5  66
44.2  21
52.8  20
58.0  54
62.9  22
70.6  50

a = 3.181 Å, b = 3.181 Å, c = 24.507 Å
α = 90.00°, β = 90.00°, γ = 120.00°
Fractional coordinates of all 16 atoms:
1 Pb 0.333 0.667 0.250
2 Pb 0.667 0.333 0.750
3 W 0.000 0.000 0.143
4 W 0.000 0.000 0.357
5 W 0.000 0.000 0.643
6 W 0.000 0.000 0.857
7 W 0.333 0.667 0.053
8 W 0.333 0.667 0.447
9 W 0.667 0.333 0.553
10 W 0.667 0.333 0.947
11 C 0.000 0.000 0.000
12 C 0.000 0.000 0.500
13 C 0.333 0.667 0.605
14 C 0.333 0.667 0.895
15 C 0.667 0.333 0.105
16 C 0.667 0.333 0.395

***

# La2Re2B5Os
Simulated powder diffractogram, Cu Ka. Input: a PBE-relaxed structure.

Principal peaks in the range 15° ≤ 2θ ≤ 90°, sorted by position:
2θ (°)  intensity
16.3  20
24.1  17
30.4  100
32.5  56
33.4  26
34.2  65
34.7  36
40.7  20
42.7  23
54.3  19

a = 5.817 Å, b = 5.817 Å, c = 8.315 Å
α = 123.90°, β = 123.90°, γ = 41.00°
Fractional coordinates of all 10 atoms:
1 La 0.168 0.168 0.267
2 La 0.832 0.832 0.733
3 Re 0.390 0.345 0.098
4 Re 0.655 0.610 0.902
5 B 0.156 0.131 0.809
6 B 0.264 0.693 0.383
7 B 0.307 0.736 0.617
8 B 0.502 0.498 0.000
9 B 0.869 0.844 0.191
10 Os 0.792 0.208 0.500

***

# BaSm3O5
Simulated powder diffractogram, Cu Ka. Input: a PBE-relaxed structure.

Principal peaks in the range 15° ≤ 2θ ≤ 90°, sorted by position:
2θ (°)  intensity
29.6  100
29.8  41
42.1  14
42.6  19
43.2  11
52.5  17
52.8  30
61.5  13
69.4  9
70.2  8

a = 7.039 Å, b = 7.039 Å, c = 7.039 Å
α = 144.52°, β = 129.58°, γ = 63.16°
Fractional coordinates of all 9 atoms:
1 Ba 0.000 0.000 0.000
2 Sm 0.283 0.783 0.500
3 Sm 0.500 0.500 0.000
4 Sm 0.717 0.217 0.500
5 O 0.108 0.349 0.759
6 O 0.410 0.651 0.759
7 O 0.500 0.000 0.500
8 O 0.590 0.349 0.241
9 O 0.892 0.651 0.241

***

# Cd2GeAs4Pd
Simulated powder diffractogram, Cu Ka. Input: a PBE-relaxed structure.

Principal peaks in the range 15° ≤ 2θ ≤ 90°, sorted by position:
2θ (°)  intensity
26.0  100
43.0  49
43.4  23
50.7  16
51.3  28
63.0  7
68.9  11
78.6  8
79.3  13
85.4  6

a = 7.302 Å, b = 7.302 Å, c = 7.302 Å
α = 132.33°, β = 132.33°, γ = 69.71°
Fractional coordinates of all 8 atoms:
1 Cd 0.000 0.000 0.000
2 Cd 0.750 0.250 0.500
3 Ge 0.500 0.500 0.000
4 As 0.161 0.633 0.043
5 As 0.367 0.410 0.528
6 As 0.590 0.118 0.957
7 As 0.882 0.839 0.472
8 Pd 0.250 0.750 0.500

***

# HoIn2Ni9
Simulated powder diffractogram, Cu Ka. Input: a PBE-relaxed structure.

Principal peaks in the range 15° ≤ 2θ ≤ 90°, sorted by position:
2θ (°)  intensity
34.5  26
36.1  23
37.4  17
39.4  100
43.6  28
44.0  35
45.0  65
45.5  29
68.8  18
70.3  16

a = 8.216 Å, b = 8.216 Å, c = 4.811 Å
α = 90.00°, β = 90.00°, γ = 90.00°
Fractional coordinates of all 24 atoms:
1 Ho 0.000 0.000 0.000
2 Ho 0.500 0.500 0.000
3 In 0.125 0.375 0.000
4 In 0.375 0.875 0.000
5 In 0.625 0.125 0.000
6 In 0.875 0.625 0.000
7 Ni 0.000 0.500 0.500
8 Ni 0.063 0.205 0.500
9 Ni 0.176 0.676 0.248
10 Ni 0.176 0.676 0.752
11 Ni 0.205 0.937 0.500
12 Ni 0.295 0.437 0.500
13 Ni 0.324 0.176 0.248
14 Ni 0.324 0.176 0.752
15 Ni 0.437 0.705 0.500
16 Ni 0.500 0.000 0.500
17 Ni 0.563 0.295 0.500
18 Ni 0.676 0.824 0.248
19 Ni 0.676 0.824 0.752
20 Ni 0.705 0.563 0.500
21 Ni 0.795 0.063 0.500
22 Ni 0.824 0.324 0.248
23 Ni 0.824 0.324 0.752
24 Ni 0.937 0.795 0.500

***

What is the formula in the fifth record? La2Re2B5Os